(1)
This entry pairs a crystal structure of Ce2Pa3Co4 with its theoretical powder diffraction line list. Radiation: Cu Kα, 1.54184 Å. Structure: a PBE-relaxed structure.

Top 10 peaks for 5° ≤ 2θ ≤ 70°, by angle:
2θ (°)  intensity
26.9  35.1
27.7  28.2
30.0  27.9
32.2  31.0
34.6  76.3
36.5  37.1
37.7  100.0
38.2  26.5
39.8  63.6
42.4  25.9

Cell and atoms:
Lattice parameters (Å, degrees): 7.0312 7.7029 7.1416 90.00 114.49 90.00
Fractional positions:
Ce1 0.1866 0.1793 0.0669
Ce2 0.1866 0.3207 0.5669
Ce3 0.8134 0.6793 0.4331
Ce4 0.8134 0.8207 0.9331
Pa1 0.2407 0.6567 0.2643
Pa2 0.2407 0.8433 0.7643
Pa3 0.5000 0.0000 0.5000
Pa4 0.5000 0.5000 0.0000
Pa5 0.7593 0.1567 0.2357
Pa6 0.7593 0.3433 0.7357
Co1 0.1032 0.5350 0.8778
Co2 0.1032 0.9650 0.3778
Co3 0.4974 0.6182 0.6354
Co4 0.4974 0.8818 0.1354
Co5 0.5026 0.1182 0.8646
Co6 0.5026 0.3818 0.3646
Co7 0.8968 0.0350 0.6222
Co8 0.8968 0.4650 0.1222

***

(2)
This entry pairs a crystal structure of TbDy2HoTm2 with its theoretical powder diffraction line list. Radiation: Cu Kα, 1.54184 Å. Structure: a PBE-relaxed structure.

Top 10 peaks for 5° ≤ 2θ ≤ 70°, by angle:
2θ (°)  intensity
25.8  7.0
31.9  90.7
32.2  100.0
41.7  11.7
46.0  33.1
53.0  8.2
57.2  23.2
57.4  24.5
63.4  28.9
67.5  8.0

Cell and atoms:
Lattice parameters (Å, degrees): 6.9061 9.5998 5.5627 90.00 90.00 90.00
Fractional positions:
Tb1 0.0000 0.0000 0.0000
Tb2 0.5000 0.5000 0.5000
Dy1 0.2494 0.3335 0.0000
Dy2 0.2506 0.8335 0.5000
Dy3 0.7494 0.1665 0.5000
Dy4 0.7506 0.6665 0.0000
Ho1 0.0000 0.5000 0.5000
Ho2 0.5000 0.0000 0.0000
Tm1 0.2501 0.1668 0.5000
Tm2 0.2499 0.6668 0.0000
Tm3 0.7501 0.3332 0.0000
Tm4 0.7499 0.8332 0.5000

***

(3)
This entry pairs a crystal structure of Ho5Cu2Pt with its theoretical powder diffraction line list. Radiation: Cu Kα, 1.54184 Å. Structure: a PBE-relaxed structure.

Top 10 peaks for 5° ≤ 2θ ≤ 70°, by angle:
2θ (°)  intensity
29.1  15.7
29.4  36.4
33.5  100.0
34.6  67.3
35.1  15.1
36.2  22.3
40.7  50.9
57.0  20.0
61.0  25.2
64.2  16.8

Cell and atoms:
Lattice parameters (Å, degrees): 9.1397 9.1397 9.1397 134.87 134.87 65.73
Fractional positions:
Ho1 0.0000 0.0000 0.0000
Ho2 0.0241 0.5241 0.8482
Ho3 0.1759 0.0241 0.5000
Ho4 0.3241 0.8241 0.8482
Ho5 0.4759 0.3241 0.5000
Ho6 0.5000 0.5000 0.0000
Ho7 0.5241 0.6759 0.5000
Ho8 0.6759 0.1759 0.1518
Ho9 0.8241 0.9759 0.5000
Ho10 0.9759 0.4759 0.1518
Cu1 0.1230 0.3770 0.5000
Cu2 0.3770 0.8770 0.2541
Cu3 0.6230 0.1230 0.7459
Cu4 0.8770 0.6230 0.5000
Pt1 0.2500 0.2500 0.0000
Pt2 0.7500 0.7500 0.0000

***

(4)
This entry pairs a crystal structure of K3AcC4O12 with its theoretical powder diffraction line list. Radiation: Cu Kα, 1.54184 Å. Structure: a PBE-relaxed structure.

Top 10 peaks for 5° ≤ 2θ ≤ 70°, by angle:
2θ (°)  intensity
12.8  72.1
16.5  38.5
19.8  30.9
21.0  33.1
25.9  100.0
26.8  24.0
33.4  25.9
39.8  19.0
40.1  28.1
42.8  29.3

Cell and atoms:
Lattice parameters (Å, degrees): 7.0789 7.0789 7.0789 98.59 98.59 98.59
Fractional positions:
K1 0.0000 0.4970 0.5030
K2 0.4970 0.5030 0.0000
K3 0.5030 0.0000 0.4970
Ac1 0.0000 0.0000 0.0000
C1 0.0037 0.5000 0.9963
C2 0.5000 0.5000 0.5000
C3 0.5000 0.9963 0.0037
C4 0.9963 0.0037 0.5000
O1 0.0274 0.6415 0.8982
O2 0.1018 0.3585 0.9726
O3 0.1150 0.8850 0.5000
O4 0.3585 0.9726 0.1018
O5 0.3808 0.6192 0.5000
O6 0.5000 0.1150 0.8850
O7 0.5000 0.3808 0.6192
O8 0.6192 0.5000 0.3808
O9 0.6415 0.8982 0.0274
O10 0.8850 0.5000 0.1150
O11 0.8982 0.0274 0.6415
O12 0.9726 0.1018 0.3585